Record 1
Starting from a DFT-relaxed cell (GGA-PBE, Alexandria), the powder XRD pattern of CrIrW2N was simulated for a wavelength of 1.5418 Å.
Neutral-atom scattering factors, no anomalous dispersion.

Structure:
```
data_CrIrW2N
_chemical_formula_sum 'Cr1 Ir1 W2 N1'
_space_group_name_H-M_alt 'P 1'
_space_group_IT_number 1
_space_group_name_Hall 'P 1'
_cell_length_a 4.0911
_cell_length_b 4.0911
_cell_length_c 3.8760
_cell_angle_alpha 90.00
_cell_angle_beta 90.00
_cell_angle_gamma 90.00
loop_
_atom_site_label
_atom_site_fract_x
_atom_site_fract_y
_atom_site_fract_z
_atom_site_occupancy
Cr1 0.0000 0.0000 0.0000 1
Ir1 0.5000 0.5000 0.0000 1
W1 0.0000 0.5000 0.5000 1
W2 0.5000 0.0000 0.5000 1
N1 0.0000 0.0000 0.5000 1
```

Top 10 peaks for 10 to 90 degrees two-theta, sorted by position:
2θ (°)  d [Å]  intensity
21.7  4.091  9
31.8  2.814  11
38.8  2.318  100
44.3  2.046  38
46.9  1.938  16
64.4  1.446  12
66.5  1.407  22
77.8  1.227  27
81.6  1.180  12
83.4  1.159  12

---

Record 2
Starting from a DFT-relaxed cell (GGA-PBE, Alexandria), the powder XRD pattern of LiBeCuPt was simulated for a wavelength of 1.5418 Å.
Neutral-atom scattering factors, no anomalous dispersion.

Structure:
```
data_LiBeCuPt
_chemical_formula_sum 'Li1 Be1 Cu1 Pt1'
_space_group_name_H-M_alt 'P 1'
_space_group_IT_number 1
_space_group_name_Hall 'P 1'
_cell_length_a 4.0102
_cell_length_b 4.0102
_cell_length_c 4.0102
_cell_angle_alpha 60.00
_cell_angle_beta 60.00
_cell_angle_gamma 60.00
loop_
_atom_site_label
_atom_site_fract_x
_atom_site_fract_y
_atom_site_fract_z
_atom_site_occupancy
Li1 0.0000 0.0000 0.0000 1
Be1 0.5000 0.5000 0.5000 1
Cu1 0.7500 0.7500 0.7500 1
Pt1 0.2500 0.2500 0.2500 1
```

Top 10 peaks for 10 to 90 degrees two-theta, sorted by position:
2θ (°)  d [Å]  intensity
27.2  3.274  46
31.6  2.836  100
45.2  2.005  88
53.6  1.710  23
56.2  1.637  26
65.9  1.418  14
72.7  1.301  10
74.9  1.268  33
83.5  1.158  29
89.9  1.091  8

---

Record 3
Starting from a DFT-relaxed cell (GGA-PBE, Alexandria), the powder XRD pattern of Tb2Er9Tm was simulated for a wavelength of 1.5418 Å.
Neutral-atom scattering factors, no anomalous dispersion.

Structure:
```
data_Tb2Er9Tm
_chemical_formula_sum 'Tb2 Er9 Tm1'
_space_group_name_H-M_alt 'P 1'
_space_group_IT_number 1
_space_group_name_Hall 'P 1'
_cell_length_a 11.0791
_cell_length_b 11.0791
_cell_length_c 3.4596
_cell_angle_alpha 90.00
_cell_angle_beta 90.00
_cell_angle_gamma 120.00
loop_
_atom_site_label
_atom_site_fract_x
_atom_site_fract_y
_atom_site_fract_z
_atom_site_occupancy
Tb1 0.3333 0.6667 0.0000 1
Tb2 0.6667 0.3333 0.0000 1
Er1 0.0000 0.5000 0.0000 1
Er2 0.1752 0.3504 0.5000 1
Er3 0.1752 0.8248 0.5000 1
Er4 0.3504 0.1752 0.5000 1
Er5 0.5000 0.0000 0.0000 1
Er6 0.5000 0.5000 0.0000 1
Er7 0.6496 0.8248 0.5000 1
Er8 0.8248 0.1752 0.5000 1
Er9 0.8248 0.6496 0.5000 1
Tm1 0.0000 0.0000 0.0000 1
```

Top 10 peaks for 10 to 90 degrees two-theta, sorted by position:
2θ (°)  d [Å]  intensity
30.5  2.934  25
31.9  2.806  55
32.3  2.770  100
35.9  2.503  16
38.3  2.348  15
46.0  1.971  19
57.4  1.606  20
57.6  1.599  18
63.4  1.467  29
82.1  1.174  13

---

Record 4
Starting from a DFT-relaxed cell (GGA-PBE, Alexandria), the powder XRD pattern of GePtO2 was simulated for a wavelength of 1.5418 Å.
Neutral-atom scattering factors, no anomalous dispersion.

Structure:
```
data_GePtO2
_chemical_formula_sum 'Ge2 Pt2 O4'
_space_group_name_H-M_alt 'P 1'
_space_group_IT_number 1
_space_group_name_Hall 'P 1'
_cell_length_a 4.5372
_cell_length_b 4.9841
_cell_length_c 5.3915
_cell_angle_alpha 99.11
_cell_angle_beta 110.75
_cell_angle_gamma 103.93
loop_
_atom_site_label
_atom_site_fract_x
_atom_site_fract_y
_atom_site_fract_z
_atom_site_occupancy
Ge1 0.0000 0.0000 0.0000 1
Ge2 0.1402 0.4504 0.6200 1
Pt1 0.4687 0.7026 0.4031 1
Pt2 0.4880 0.3340 0.0195 1
O1 0.0125 0.7193 0.1704 1
O2 0.6200 0.0440 0.7684 1
O3 0.8356 0.1809 0.3004 1
O4 0.9148 0.6984 0.6630 1
```

Top 10 peaks for 10 to 90 degrees two-theta, sorted by position:
2θ (°)  d [Å]  intensity
22.1  4.016  60
22.6  3.931  78
27.9  3.197  67
29.9  2.986  51
30.9  2.898  100
32.8  2.729  78
41.0  2.200  35
45.1  2.009  29
45.3  2.002  33
47.6  1.910  32

---

Record 5
Starting from a DFT-relaxed cell (GGA-PBE, Alexandria), the powder XRD pattern of Cs2TlBr2F4 was simulated for a wavelength of 1.5418 Å.
Neutral-atom scattering factors, no anomalous dispersion.

Structure:
```
data_Cs2TlBr2F4
_chemical_formula_sum 'Cs2 Tl1 Br2 F4'
_space_group_name_H-M_alt 'P 1'
_space_group_IT_number 1
_space_group_name_Hall 'P 1'
_cell_length_a 6.8139
_cell_length_b 6.8139
_cell_length_c 6.8139
_cell_angle_alpha 112.83
_cell_angle_beta 112.83
_cell_angle_gamma 102.94
loop_
_atom_site_label
_atom_site_fract_x
_atom_site_fract_y
_atom_site_fract_z
_atom_site_occupancy
Cs1 0.2500 0.7500 0.5000 1
Cs2 0.7500 0.2500 0.5000 1
Tl1 0.0000 0.0000 0.0000 1
Br1 0.3374 0.3374 0.0000 1
Br2 0.6626 0.6626 0.0000 1
F1 0.2024 0.2024 0.4048 1
F2 0.2024 0.7976 0.0000 1
F3 0.7976 0.2024 0.0000 1
F4 0.7976 0.7976 0.5952 1
```

Top 10 peaks for 10 to 90 degrees two-theta, sorted by position:
2θ (°)  d [Å]  intensity
15.7  5.637  30
23.6  3.769  100
26.8  3.320  72
33.6  2.665  60
33.8  2.649  39
41.7  2.167  34
43.5  2.078  34
48.3  1.885  20
54.4  1.686  24
54.6  1.682  22

---

Record 6
Starting from a DFT-relaxed cell (GGA-PBE, Alexandria), the powder XRD pattern of AlCu2GeTe4 was simulated for a wavelength of 1.5418 Å.
Neutral-atom scattering factors, no anomalous dispersion.

Structure:
```
data_AlCu2GeTe4
_chemical_formula_sum 'Al1 Cu2 Ge1 Te4'
_space_group_name_H-M_alt 'P 1'
_space_group_IT_number 1
_space_group_name_Hall 'P 1'
_cell_length_a 7.5017
_cell_length_b 7.5006
_cell_length_c 6.1715
_cell_angle_alpha 65.72
_cell_angle_beta 65.70
_cell_angle_gamma 48.58
loop_
_atom_site_label
_atom_site_fract_x
_atom_site_fract_y
_atom_site_fract_z
_atom_site_occupancy
Al1 0.0000 0.0000 0.0000 1
Cu1 0.2502 0.2502 0.2498 1
Cu2 0.7502 0.7502 0.7498 1
Ge1 0.5005 0.5005 0.4995 1
Te1 0.1040 0.6256 0.8960 1
Te2 0.3743 0.8968 0.1032 1
Te3 0.6256 0.1040 0.3744 1
Te4 0.8968 0.3743 0.6257 1
```

Top 10 peaks for 10 to 90 degrees two-theta, sorted by position:
2θ (°)  d [Å]  intensity
25.1  3.549  100
28.9  3.086  7
41.4  2.182  23
41.6  2.169  44
49.0  1.859  31
49.4  1.843  14
60.0  1.543  7
66.4  1.408  11
75.6  1.257  14
81.0  1.187  6